(1)
Diffraction record for Ga6FeCo3. The PXRD pattern is calculated, not measured: it uses a cell relaxed with PBE and CuKα.

Largest 12 diffraction maxima, in order of rising 2θ, 2θ from 10° to 80°:
- 2θ 29.50, d = 3.028 Å, I 34
- 2θ 30.96, d = 2.888 Å, I 36
- 2θ 32.87, d = 2.725 Å, I 27
- 2θ 39.84, d = 2.263 Å, I 47
- 2θ 42.49, d = 2.128 Å, I 100
- 2θ 43.16, d = 2.096 Å, I 19
- 2θ 44.09, d = 2.054 Å, I 38
- 2θ 45.27, d = 2.003 Å, I 23
- 2θ 47.30, d = 1.922 Å, I 30
- 2θ 48.29, d = 1.885 Å, I 20
- 2θ 50.11, d = 1.821 Å, I 32
- 2θ 51.99, d = 1.759 Å, I 42

Atomic structure:
a = 9.6336 Å, b = 9.6336 Å, c = 10.8265 Å
α = 90.00°, β = 90.00°, γ = 120.00°
Space group R-3 (No. 148, hexagonal axes)
One atom of each set of equivalent atoms:
1 Ga 0.0576 0.8115 0.4093 (multiplicity 18)
2 Ga 0.0653 0.8783 0.8381 (multiplicity 18)
3 Fe 0.0000 0.0000 0.0000 (multiplicity 3)
4 Fe 0.0000 0.0000 0.5000 (multiplicity 3)
5 Co 0.0094 0.5655 0.3140 (multiplicity 18)


(2)
Diffraction record for LiPBr. The PXRD pattern is calculated, not measured: it uses a cell relaxed with PBE and CuKα.

Largest 12 diffraction maxima, in order of rising 2θ, 2θ from 10° to 80°:
- 2θ 15.15, d = 5.846 Å, I 27
- 2θ 23.23, d = 3.828 Å, I 100
- 2θ 26.00, d = 3.428 Å, I 62
- 2θ 26.62, d = 3.348 Å, I 44
- 2θ 26.85, d = 3.321 Å, I 39
- 2θ 29.07, d = 3.072 Å, I 86
- 2θ 29.85, d = 2.993 Å, I 91
- 2θ 32.94, d = 2.719 Å, I 93
- 2θ 39.38, d = 2.288 Å, I 24
- 2θ 42.84, d = 2.111 Å, I 46
- 2θ 46.12, d = 1.968 Å, I 47
- 2θ 61.99, d = 1.497 Å, I 29

Atomic structure:
a = 14.169 Å, b = 3.428 Å, c = 6.185 Å
α = 90.00°, β = 109.05°, γ = 90.00°
Space group Cm (No. 8)
One atom of each set of equivalent atoms:
1 Li 0.000 0.000 0.000 (multiplicity 2)
2 Li 0.179 0.000 0.804 (multiplicity 2)
3 P 0.170 0.000 0.346 (multiplicity 2)
4 P 0.275 0.500 0.413 (multiplicity 2)
5 Br 0.037 0.500 0.749 (multiplicity 2)
6 Br 0.322 0.500 0.011 (multiplicity 2)


(3)
Diffraction record for Ac3InNi2. The PXRD pattern is calculated, not measured: it uses a cell relaxed with PBE and CuKα.

Largest 12 diffraction maxima, in order of rising 2θ, 2θ from 10° to 80°:
- 2θ 25.81, d = 3.452 Å, I 100
- 2θ 26.71, d = 3.337 Å, I 14
- 2θ 28.14, d = 3.171 Å, I 11
- 2θ 33.60, d = 2.667 Å, I 20
- 2θ 34.61, d = 2.592 Å, I 9
- 2θ 35.75, d = 2.512 Å, I 37
- 2θ 37.87, d = 2.376 Å, I 35
- 2θ 41.05, d = 2.199 Å, I 12
- 2θ 48.40, d = 1.880 Å, I 19
- 2θ 53.06, d = 1.726 Å, I 10
- 2θ 65.45, d = 1.426 Å, I 8
- 2θ 78.93, d = 1.213 Å, I 12

Atomic structure:
a = 8.2301 Å, b = 8.2301 Å, c = 19.0272 Å
α = 90.00°, β = 90.00°, γ = 120.00°
Space group R-3c (No. 167, hexagonal axes)
One atom of each set of equivalent atoms:
1 Ac 0.0000 0.2800 0.2500 (multiplicity 18)
2 In 0.0000 0.0000 0.0000 (multiplicity 6)
3 Ni 0.0000 0.0000 0.1405 (multiplicity 12)